[1]
# SbH8N2F5
Theoretical powder X-ray diffraction pattern, Cu Kα (λ = 1.5418 Å). Input: a crystal structure in the Materials Project, relaxed with PBE.

Atomic structure:
Lattice parameters (Å, degrees): 6.4488 6.7988 8.2170 90.00 111.55 90.00
Element x y z (fractional)
Sb1 0.0933 0.2500 0.1811
Sb2 0.9067 0.7500 0.8189
H1 0.1522 0.7500 0.5668
H2 0.2064 0.6259 0.4095
H3 0.2064 0.8741 0.4095
H4 0.2790 0.2500 0.8253
H5 0.4114 0.7500 0.5633
H6 0.4900 0.6253 0.1695
H7 0.4900 0.8747 0.1695
H8 0.4932 0.7500 0.9912
H9 0.5068 0.2500 0.0088
H10 0.5100 0.1253 0.8305
H11 0.5100 0.3747 0.8305
H12 0.5886 0.2500 0.4367
H13 0.7210 0.7500 0.1747
H14 0.7936 0.1259 0.5905
H15 0.7936 0.3741 0.5905
H16 0.8478 0.2500 0.4332
N1 0.2440 0.7500 0.4874
N2 0.4496 0.2500 0.8745
N3 0.5504 0.7500 0.1255
N4 0.7560 0.2500 0.5126
F1 0.1036 0.5387 0.7628
F2 0.1036 0.9613 0.7628
F3 0.2255 0.2500 0.4404
F4 0.3549 0.0348 0.2354
F5 0.3549 0.4652 0.2354
F6 0.6451 0.5348 0.7646
F7 0.6451 0.9652 0.7646
F8 0.7745 0.7500 0.5596
F9 0.8964 0.0387 0.2372
F10 0.8964 0.4613 0.2372

Most intense lines, 2θ from 10° to 80°, sorted by position:
two_theta	d/Å	I/Imax
14.77	5.998	42
15.06	5.883	45
17.46	5.080	100
19.74	4.498	29
19.96	4.449	28
23.28	3.821	29
25.60	3.480	53
26.11	3.413	51
35.23	2.547	18
38.48	2.339	55


[2]
# Ca2SnS4
Theoretical powder X-ray diffraction pattern, Cu Kα (λ = 1.5418 Å). Input: a crystal structure in the Materials Project, relaxed with PBE.

Atomic structure:
Lattice parameters (Å, degrees): 8.1983 11.3997 3.8714 90.00 90.00 90.00
Element x y z (fractional)
Ca1 0.2500 0.2500 0.0000
Ca2 0.2500 0.7500 0.0000
Ca3 0.7500 0.2500 0.0000
Ca4 0.7500 0.7500 0.0000
Sn1 0.0000 0.0000 0.5000
Sn2 0.5000 0.5000 0.5000
S1 0.0000 0.2297 0.5000
S2 0.0000 0.7703 0.5000
S3 0.2178 0.0000 0.0000
S4 0.2822 0.5000 0.0000
S5 0.5000 0.2703 0.5000
S6 0.5000 0.7297 0.5000
S7 0.7178 0.5000 0.0000
S8 0.7822 0.0000 0.0000

Most intense lines, 2θ from 10° to 80°, sorted by position:
two_theta	d/Å	I/Imax
13.30	6.656	100
25.84	3.448	12
26.64	3.346	25
31.39	2.850	34
31.79	2.815	68
41.20	2.191	16
44.19	2.050	12
45.28	2.003	45
55.20	1.664	11
57.56	1.601	11


[3]
# Zr6Al16Pd7
Theoretical powder X-ray diffraction pattern, Cu Kα (λ = 1.5418 Å). Input: a crystal structure in the Materials Project, relaxed with PBE.

Atomic structure:
Lattice parameters (Å, degrees): 8.7987 8.7987 8.7987 60.00 60.00 60.00
Element x y z (fractional)
Zr1 0.1869 0.1869 0.8131
Zr2 0.1869 0.8131 0.1869
Zr3 0.1869 0.8131 0.8131
Zr4 0.8131 0.1869 0.1869
Zr5 0.8131 0.1869 0.8131
Zr6 0.8131 0.8131 0.1869
Al1 0.1384 0.6205 0.6205
Al2 0.1657 0.1657 0.1657
Al3 0.1657 0.1657 0.5029
Al4 0.1657 0.5029 0.1657
Al5 0.3795 0.3795 0.3795
Al6 0.3795 0.3795 0.8616
Al7 0.3795 0.8616 0.3795
Al8 0.4971 0.8343 0.8343
Al9 0.5029 0.1657 0.1657
Al10 0.6205 0.1384 0.6205
Al11 0.6205 0.6205 0.1384
Al12 0.6205 0.6205 0.6205
Al13 0.8343 0.4971 0.8343
Al14 0.8343 0.8343 0.4971
Al15 0.8343 0.8343 0.8343
Al16 0.8616 0.3795 0.3795
Pd1 0.0000 0.0000 0.5000
Pd2 0.0000 0.5000 0.0000
Pd3 0.0000 0.5000 0.5000
Pd4 0.5000 0.0000 0.0000
Pd5 0.5000 0.0000 0.5000
Pd6 0.5000 0.5000 0.0000
Pd7 0.5000 0.5000 0.5000

Most intense lines, 2θ from 10° to 80°, sorted by position:
two_theta	d/Å	I/Imax
24.79	3.592	20
28.70	3.111	58
31.34	2.855	33
35.34	2.540	33
37.56	2.395	54
41.03	2.200	100
43.64	2.074	17
48.53	1.876	39
63.43	1.466	18
65.38	1.427	21